(1)
Structure and calculated XRD peak list of K8N3O (a structure optimized by DFT (PBE); Cu Kα (weighted mean of Kα1 and Kα2)).
No peak broadening, texture or thermal motion is included.

Structure:
```
data_K8N3O
_space_group_name_H-M_alt 'P m -3 m'
_space_group_IT_number 221
_space_group_name_Hall '-P 4 2 3'
_cell_length_a 6.738
_cell_length_b 6.738
_cell_length_c 6.738
_cell_angle_alpha 90.00
_cell_angle_beta 90.00
_cell_angle_gamma 90.00
loop_
_atom_site_label
_atom_site_type_symbol
_atom_site_fract_x
_atom_site_fract_y
_atom_site_fract_z
K1 K 0.243 0.243 0.243
N1 N 0.000 0.500 0.500
O1 O 0.000 0.000 0.000
```

Top 10 peaks for 2θ from 10° to 80°, sorted by position:
| (hkl) | d_spacing | 2θ/deg | Rel. int. |
| --- | --- | --- | --- |
| 1 0 0 | 6.738 | 13.14 | 14 |
| 1 1 1 | 3.890 | 22.86 | 72 |
| 2 0 0 | 3.369 | 26.46 | 680 |
| 2 2 0 | 2.382 | 37.76 | 1000 |
| 3 1 1 | 2.032 | 44.60 | 24 |
| 2 2 2 | 1.945 | 46.70 | 168 |
| 3 2 0 | 1.869 | 48.73 | 12 |
| 4 0 0 | 1.685 | 54.47 | 144 |
| 4 2 0 | 1.507 | 61.55 | 203 |
| 4 2 2 | 1.375 | 68.18 | 262 |

(2)
Structure and calculated XRD peak list of K4P3NO13 (a structure optimized by DFT (PBE); Cu Kα (weighted mean of Kα1 and Kα2)).
No peak broadening, texture or thermal motion is included.

Structure:
```
data_K4P3NO13
_space_group_name_H-M_alt 'P -1'
_space_group_IT_number 2
_cell_length_a 6.167
_cell_length_b 10.115
_cell_length_c 12.802
_cell_angle_alpha 96.06
_cell_angle_beta 91.25
_cell_angle_gamma 104.73
loop_
_space_group_symop_operation_xyz
'x,y,z'
'-x,-y,-z'
loop_
_atom_site_label
_atom_site_type_symbol
_atom_site_fract_x
_atom_site_fract_y
_atom_site_fract_z
K1 K 0.118 0.217 0.211
K2 K 0.135 0.243 0.891
K3 K 0.136 0.349 0.481
K4 K 0.371 0.689 0.319
P1 P 0.204 0.521 0.745
P2 P 0.326 0.676 0.959
P3 P 0.399 0.751 0.617
N1 N 0.306 0.618 0.078
O1 O 0.023 0.459 0.283
O2 O 0.037 0.921 0.319
O3 O 0.089 0.075 0.608
O4 O 0.159 0.763 0.957
O5 O 0.238 0.380 0.712
O6 O 0.239 0.835 0.656
O7 O 0.245 0.539 0.876
O8 O 0.312 0.652 0.517
O9 O 0.352 0.177 0.380
O10 O 0.405 0.640 0.713
O11 O 0.406 0.983 0.132
O12 O 0.426 0.258 0.048
O13 O 0.438 0.048 0.821
```

Top 10 peaks for 2θ from 10° to 80°, sorted by position:
| (hkl) | d_spacing | 2θ/deg | Rel. int. |
| --- | --- | --- | --- |
| 0 2 0 | 4.859 | 18.26 | 490 |
| 1 2 -1 | 3.342 | 26.67 | 391 |
| 1 -3 1 | 3.183 | 28.03 | 250 |
| 0 1 -4 | 3.129 | 28.53 | 318 |
| 2 -1 0 | 3.079 | 29.00 | 795 |
| 1 1 3 | 2.975 | 30.03 | 1000 |
| -1 2 3 | 2.942 | 30.39 | 661 |
| 1 2 -3 | 2.786 | 32.13 | 263 |
| 0 1 -5 | 2.532 | 35.45 | 266 |
| 0 4 1 | 2.337 | 38.52 | 317 |

(3)
Structure and calculated XRD peak list of K3RhN6O12 (a structure optimized by DFT (PBE); Cu Kα (weighted mean of Kα1 and Kα2)).
No peak broadening, texture or thermal motion is included.

Structure:
```
data_K3RhN6O12
_space_group_name_H-M_alt 'F m -3 m'
_space_group_IT_number 225
_space_group_name_Hall '-F 4 2 3'
_cell_length_a 10.367
_cell_length_b 10.367
_cell_length_c 10.367
_cell_angle_alpha 90.00
_cell_angle_beta 90.00
_cell_angle_gamma 90.00
loop_
_atom_site_label
_atom_site_type_symbol
_atom_site_fract_x
_atom_site_fract_y
_atom_site_fract_z
K1 K 0.000 0.000 0.000
K2 K 0.250 0.250 0.250
Rh1 Rh 0.000 0.000 0.500
N1 N 0.000 0.000 0.302
O1 O 0.000 0.204 0.296
```

Top 10 peaks for 2θ from 10° to 80°, sorted by position:
| (hkl) | d_spacing | 2θ/deg | Rel. int. |
| --- | --- | --- | --- |
| 1 1 1 | 5.986 | 14.80 | 800 |
| 2 2 0 | 3.665 | 24.28 | 623 |
| 2 2 2 | 2.993 | 29.85 | 241 |
| 4 0 0 | 2.592 | 34.61 | 1000 |
| 4 2 2 | 2.116 | 42.73 | 476 |
| 5 1 1 | 1.995 | 45.46 | 276 |
| 4 4 0 | 1.833 | 49.75 | 410 |
| 6 2 0 | 1.639 | 56.11 | 199 |
| 6 4 2 | 1.385 | 67.62 | 238 |
| 6 6 0 | 1.222 | 78.24 | 208 |

(4)
Structure and calculated XRD peak list of KSNO (a structure optimized by DFT (PBE); Cu Kα (weighted mean of Kα1 and Kα2)).
No peak broadening, texture or thermal motion is included.

Structure:
```
data_KSNO
_space_group_name_H-M_alt 'P 21 21 21'
_space_group_IT_number 19
_cell_length_a 6.378
_cell_length_b 7.263
_cell_length_c 7.911
_cell_angle_alpha 90.00
_cell_angle_beta 90.00
_cell_angle_gamma 90.00
loop_
_space_group_symop_operation_xyz
'x,y,z'
'-x+1/2,-y,z+1/2'
'x+1/2,-y+1/2,-z'
'-x,y+1/2,-z+1/2'
loop_
_atom_site_label
_atom_site_type_symbol
_atom_site_fract_x
_atom_site_fract_y
_atom_site_fract_z
K1 K 0.248 0.106 0.131
S1 S 0.247 0.593 0.120
N1 N 0.048 0.489 0.113
O1 O 0.045 0.510 0.614
```

Top 10 peaks for 2θ from 10° to 80°, sorted by position:
| (hkl) | d_spacing | 2θ/deg | Rel. int. |
| --- | --- | --- | --- |
| 0 2 0 | 3.632 | 24.51 | 268 |
| 0 1 2 | 3.474 | 25.64 | 119 |
| 1 0 2 | 3.362 | 26.52 | 1000 |
| 0 2 1 | 3.300 | 27.02 | 310 |
| 2 0 0 | 3.189 | 27.98 | 143 |
| 1 2 1 | 2.931 | 30.50 | 458 |
| 1 2 2 | 2.467 | 36.42 | 113 |
| 2 2 1 | 2.293 | 39.28 | 245 |
| 1 2 3 | 2.024 | 44.79 | 148 |
| 0 0 4 | 1.978 | 45.89 | 141 |

(5)
Structure and calculated XRD peak list of KSeNO2 (a structure optimized by DFT (PBE); Cu Kα (weighted mean of Kα1 and Kα2)).
No peak broadening, texture or thermal motion is included.

Structure:
```
data_KSeNO2
_space_group_name_H-M_alt 'P 1 21/c 1'
_space_group_IT_number 14
_cell_length_a 7.602
_cell_length_b 13.046
_cell_length_c 12.119
_cell_angle_alpha 90.00
_cell_angle_beta 113.90
_cell_angle_gamma 90.00
loop_
_space_group_symop_operation_xyz
'x,y,z'
'-x,-y,-z'
'-x,y+1/2,-z+1/2'
'x,-y+1/2,z+1/2'
loop_
_atom_site_label
_atom_site_type_symbol
_atom_site_fract_x
_atom_site_fract_y
_atom_site_fract_z
K1 K 0.101 0.140 0.430
K2 K 0.221 0.078 0.870
K3 K 0.307 0.750 0.404
Se1 Se 0.253 0.166 0.183
Se2 Se 0.292 0.564 0.666
Se3 Se 0.385 0.561 0.157
N1 N 0.132 0.044 0.150
N2 N 0.451 0.166 0.331
N3 N 0.500 0.063 0.690
O1 O 0.098 0.247 0.201
O2 O 0.160 0.663 0.672
O3 O 0.237 0.559 0.012
O4 O 0.259 0.583 0.240
O5 O 0.317 0.203 0.072
O6 O 0.363 0.572 0.553
```

Top 10 peaks for 2θ from 10° to 80°, sorted by position:
| (hkl) | d_spacing | 2θ/deg | Rel. int. |
| --- | --- | --- | --- |
| 1 1 -1 | 6.428 | 13.78 | 208 |
| 0 2 1 | 5.621 | 15.77 | 210 |
| 1 0 -2 | 5.561 | 15.94 | 1000 |
| 1 2 -2 | 4.235 | 20.98 | 322 |
| 2 0 0 | 3.475 | 25.64 | 399 |
| 0 3 2 | 3.421 | 26.05 | 916 |
| 1 3 1 | 3.292 | 27.08 | 237 |
| 2 1 -3 | 3.180 | 28.06 | 433 |
| 2 3 -2 | 2.815 | 31.79 | 295 |
| 1 5 0 | 2.443 | 36.79 | 328 |

(6)
Structure and calculated XRD peak list of K6OsN4 (a structure optimized by DFT (PBE); Cu Kα (weighted mean of Kα1 and Kα2)).
No peak broadening, texture or thermal motion is included.

Structure:
```
data_K6OsN4
_space_group_name_H-M_alt 'P 42/n m c'
_space_group_IT_number 137
_cell_length_a 8.780
_cell_length_b 8.780
_cell_length_c 7.698
_cell_angle_alpha 90.00
_cell_angle_beta 90.00
_cell_angle_gamma 90.00
loop_
_space_group_symop_operation_xyz
'x,y,z'
'-x,-y,-z'
'-y+1/2,x,z+1/2'
'y+1/2,-x,-z+1/2'
'-x+1/2,-y+1/2,z'
'x+1/2,y+1/2,-z'
'y,-x+1/2,z+1/2'
'-y,x+1/2,-z+1/2'
'x+1/2,-y,-z'
'-x+1/2,y,z'
'-y,-x,-z+1/2'
'y,x,z+1/2'
'-x,y+1/2,-z'
'x,-y+1/2,z'
'y+1/2,x+1/2,-z+1/2'
'-y+1/2,-x+1/2,z+1/2'
loop_
_atom_site_label
_atom_site_type_symbol
_atom_site_fract_x
_atom_site_fract_y
_atom_site_fract_z
K1 K 0.024 0.524 0.250
K2 K 0.250 0.250 0.020
Os1 Os 0.250 0.750 0.750
N1 N 0.077 0.750 0.882
```

Top 10 peaks for 2θ from 10° to 80°, sorted by position:
| (hkl) | d_spacing | 2θ/deg | Rel. int. |
| --- | --- | --- | --- |
| 1 1 0 | 6.208 | 14.27 | 279 |
| 1 0 1 | 5.788 | 15.31 | 1000 |
| 2 1 1 | 3.498 | 25.47 | 726 |
| 1 1 2 | 3.271 | 27.26 | 509 |
| 2 2 0 | 3.104 | 28.76 | 465 |
| 3 0 1 | 2.736 | 32.74 | 295 |
| 2 2 2 | 2.416 | 37.21 | 207 |
| 3 1 2 | 2.252 | 40.04 | 328 |
| 4 0 0 | 2.195 | 41.12 | 199 |
| 2 1 3 | 2.148 | 42.07 | 198 |